Record 1
Calculated X-ray powder pattern of GaCu2BS4 for Cu Ka, from a cell relaxed with GGA-PBE.

Most intense lines, 10° ≤ 2θ ≤ 90°, sorted by position:
two_theta	intensity
19.31	7
30.34	100
32.24	7
39.19	5
39.84	10
49.60	20
51.09	37
59.26	24
61.89	11
83.14	10

Crystal structure
```
16
Lattice="5.198 0.000 0.000 0.000 5.198 0.000 0.000 0.000 9.853" Properties=species:S:1:pos:R:3 pbc="T T T"
Ga 0.000 0.000 0.000
Ga 2.599 2.599 4.926
Cu 0.000 0.000 4.926
Cu 0.000 2.599 2.463
Cu 2.599 0.000 7.390
Cu 2.599 2.599 0.000
B 0.000 2.599 7.390
B 2.599 0.000 2.463
S 1.126 1.448 6.284
S 1.151 3.725 8.495
S 1.448 4.072 3.568
S 1.473 1.151 1.358
S 3.725 4.047 1.358
S 3.750 1.126 3.568
S 4.047 1.473 8.495
S 4.072 3.750 6.284
```

---

Record 2
Calculated X-ray powder pattern of Sm2GdCu2B2N3 for Cu Ka, from a cell relaxed with GGA-PBE.

Most intense lines, 10° ≤ 2θ ≤ 90°, sorted by position:
two_theta	intensity
28.23	100
33.27	91
34.89	57
35.64	40
36.73	52
39.85	37
51.29	42
59.58	27
62.52	31
63.54	38

Crystal structure
```
10
Lattice="-1.781 1.781 10.287 1.781 -1.781 10.287 1.781 1.781 -10.287" Properties=species:S:1:pos:R:3 pbc="T T T"
Sm 0.000 0.000 2.508
Sm 0.000 0.000 18.065
Gd 0.000 0.000 10.287
Cu 1.781 0.000 5.143
Cu 0.000 1.781 5.143
B 0.000 0.000 6.480
B 0.000 0.000 14.094
N 0.000 0.000 0.000
N 0.000 0.000 7.915
N 0.000 0.000 12.659
```

---

Record 3
Calculated X-ray powder pattern of TbGdCu2B2N2 for Cu Ka, from a cell relaxed with GGA-PBE.

Most intense lines, 10° ≤ 2θ ≤ 90°, sorted by position:
two_theta	intensity
27.78	100
34.43	72
34.88	55
35.97	22
37.87	78
43.16	53
51.78	39
59.77	26
63.67	25
63.96	36

Crystal structure
```
8
Lattice="3.531 0.000 0.000 0.000 3.531 0.000 0.000 0.000 7.717" Properties=species:S:1:pos:R:3 pbc="T T T"
Tb 0.000 0.000 0.000
Gd 1.766 1.766 2.557
Cu 0.000 1.766 5.137
Cu 1.766 0.000 5.137
B 0.000 0.000 3.795
B 1.766 1.766 6.470
N 0.000 0.000 2.350
N 1.766 1.766 0.196
```